For Ho2ErAu3, a crystal structure in Alexandria, relaxed with GGA-PBE gives the calculated XRD peak list in this record (copper Kα).
Peak positions follow from Bragg's law for the DFT cell and can differ from measured ones.

Most intense lines, 5 to 70 degrees two-theta, sorted by position:
two_theta  I_rel  (hkl)
24.63  0.5  0 0 3
25.02  1.0  1 0 0
35.40  100.0  1 0 3
35.68  49.0  1 1 0
43.84  0.5  1 1 3
50.50  9.2  0 0 6
51.35  17.6  2 0 0
63.37  18.7  1 1 6
63.92  36.5  2 1 3

Structure:
Unit cell a=3.5584 b=3.5584 c=10.8428 alpha=90.00 beta=90.00 gamma=90.00
Space group P4/mmm (No. 123)
Inequivalent atoms, fractional coordinates:
Ho 0.0000 0.0000 0.1672 x2
Er 0.0000 0.0000 0.5000 x1
Au 0.5000 0.5000 0.0000 x1
Au 0.5000 0.5000 0.3350 x2